(1)
Calculated powder X-ray diffraction pattern of Pm2B3Pt8 for Cu Kα, from the GGA-PBE geometry in Alexandria.

Structural model:
```
data_Pm2B3Pt8
_chemical_formula_sum 'Pm4 B6 Pt16'
_cell_length_a 12.4998
_cell_length_b 5.6947
_cell_length_c 7.0579
_cell_angle_alpha 90.00
_cell_angle_beta 112.15
_cell_angle_gamma 90.00
_symmetry_space_group_name_H-M 'C 1 m 1'
_symmetry_Int_Tables_number 8
_symmetry_space_group_name_Hall 'C -2y'
loop_
_atom_site_label
_atom_site_type_symbol
_atom_site_fract_x
_atom_site_fract_y
_atom_site_fract_z
_atom_site_occupancy
Pm1 Pm 0.0000 0.0000 0.0000 1
Pm2 Pm 0.0214 0.5000 0.6038 1
B1 B 0.2594 0.0000 0.7983 1
B2 B 0.2595 0.2706 0.2995 1
Pt1 Pt 0.0781 0.0000 0.6550 1
Pt2 Pt 0.1224 0.5000 0.2771 1
Pt3 Pt 0.2306 0.2556 0.9930 1
Pt4 Pt 0.2908 0.2555 0.6070 1
Pt5 Pt 0.3970 0.5000 0.3240 1
Pt6 Pt 0.4411 0.0000 0.9467 1
```

Peak list (10 most intense, 15 to 90 degrees two-theta, sorted by position)
- 2θ = 20.20°, I = 32, hkl 1 1 -1
- 2θ = 32.69°, I = 100, hkl 4 0 -2
- 2θ = 34.90°, I = 37, hkl 3 1 1
- 2θ = 35.12°, I = 94, hkl 2 2 0
- 2θ = 38.47°, I = 45, hkl 4 0 1
- 2θ = 39.97°, I = 30, hkl 2 2 1
- 2θ = 41.06°, I = 66, hkl 2 2 -2
- 2θ = 41.44°, I = 46, hkl 0 0 3
- 2θ = 55.60°, I = 20, hkl 6 2 -2
- 2θ = 60.23°, I = 22, hkl 2 2 3

---

(2)
Calculated powder X-ray diffraction pattern of SrMgSc4Se8 for Cu Kα, from the GGA-PBE geometry in Alexandria.

Structural model:
```
data_SrMgSc4Se8
_chemical_formula_sum 'Sr3 Mg3 Sc12 Se24'
_cell_length_a 8.1450
_cell_length_b 8.1450
_cell_length_c 20.1603
_cell_angle_alpha 90.00
_cell_angle_beta 90.00
_cell_angle_gamma 120.00
_symmetry_space_group_name_H-M 'R 3 m'
_symmetry_Int_Tables_number 160
_symmetry_space_group_name_Hall 'R 3 -2"'
loop_
_atom_site_label
_atom_site_type_symbol
_atom_site_fract_x
_atom_site_fract_y
_atom_site_fract_z
_atom_site_occupancy
Sr1 Sr 0.0000 0.0000 0.0000 1
Mg1 Mg 0.0000 0.0000 0.6249 1
Sc1 Sc 0.0000 0.0000 0.2462 1
Sc2 Sc 0.1706 0.3412 0.4554 1
Se1 Se 0.0000 0.0000 0.3789 1
Se2 Se 0.0000 0.0000 0.8577 1
Se3 Se 0.0460 0.5230 0.3805 1
Se4 Se 0.1755 0.3510 0.2033 1
```

Peak list (10 most intense, 15 to 90 degrees two-theta, sorted by position)
- 2θ = 21.67°, I = 18, hkl 1 0 4
- 2θ = 25.60°, I = 33, hkl 0 2 1
- 2θ = 26.53°, I = 26, hkl 0 0 6
- 2θ = 26.78°, I = 74, hkl 2 0 2
- 2θ = 30.95°, I = 100, hkl 0 2 4
- 2θ = 40.60°, I = 36, hkl 0 3 3
- 2θ = 44.17°, I = 68, hkl 2 0 8
- 2θ = 44.49°, I = 67, hkl 2 2 0
- 2θ = 52.55°, I = 18, hkl 2 2 6
- 2θ = 64.49°, I = 18, hkl 0 4 8

---

(3)
Calculated powder X-ray diffraction pattern of PmCdAu6 for Cu Kα, from the GGA-PBE geometry in Alexandria.

Structural model:
```
data_PmCdAu6
_chemical_formula_sum 'Pm1 Cd1 Au6'
_cell_length_a 4.3969
_cell_length_b 4.3969
_cell_length_c 8.3217
_cell_angle_alpha 90.00
_cell_angle_beta 90.00
_cell_angle_gamma 90.00
_symmetry_space_group_name_H-M 'P 4/m m m'
_symmetry_Int_Tables_number 123
_symmetry_space_group_name_Hall '-P 4 2'
loop_
_atom_site_label
_atom_site_type_symbol
_atom_site_fract_x
_atom_site_fract_y
_atom_site_fract_z
_atom_site_occupancy
Pm1 Pm 0.0000 0.0000 0.0000 1
Cd1 Cd 0.0000 0.0000 0.5000 1
Au1 Au 0.0000 0.5000 0.2606 1
Au2 Au 0.5000 0.5000 0.0000 1
Au3 Au 0.5000 0.5000 0.5000 1
```

Peak list (10 most intense, 15 to 90 degrees two-theta, sorted by position)
- 2θ = 20.20°, I = 2, hkl 1 0 0
- 2θ = 36.06°, I = 100, hkl 1 1 2
- 2θ = 41.06°, I = 35, hkl 2 0 0
- 2θ = 43.50°, I = 14, hkl 0 0 4
- 2θ = 59.46°, I = 12, hkl 2 2 0
- 2θ = 61.35°, I = 21, hkl 2 0 4
- 2θ = 71.55°, I = 28, hkl 3 1 2
- 2θ = 74.98°, I = 11, hkl 1 1 6
- 2θ = 76.50°, I = 11, hkl 2 2 4
- 2θ = 89.07°, I = 4, hkl 4 0 0

---

(4)
Calculated powder X-ray diffraction pattern of Ho3Er2Ru4 for Cu Kα, from the GGA-PBE geometry in Alexandria.

Structural model:
```
data_Ho3Er2Ru4
_chemical_formula_sum 'Ho3 Er2 Ru4'
_cell_length_a 4.8346
_cell_length_b 4.8346
_cell_length_c 9.1679
_cell_angle_alpha 90.00
_cell_angle_beta 90.00
_cell_angle_gamma 120.00
_symmetry_space_group_name_H-M 'P -3 m 1'
_symmetry_Int_Tables_number 164
_symmetry_space_group_name_Hall '-P 3 2"'
loop_
_atom_site_label
_atom_site_type_symbol
_atom_site_fract_x
_atom_site_fract_y
_atom_site_fract_z
_atom_site_occupancy
Ho1 Ho 0.0000 0.0000 0.0000 1
Ho2 Ho 0.3333 0.6667 0.4092 1
Er1 Er 0.3333 0.6667 0.7953 1
Ru1 Ru 0.0000 0.0000 0.3565 1
Ru2 Ru 0.3333 0.6667 0.1061 1
```

Peak list (10 most intense, 15 to 90 degrees two-theta, sorted by position)
- 2θ = 28.88°, I = 21, hkl 1 0 2
- 2θ = 36.40°, I = 90, hkl 0 1 3
- 2θ = 37.20°, I = 100, hkl 1 1 0
- 2θ = 53.02°, I = 30, hkl 2 0 3
- 2θ = 63.70°, I = 11, hkl 1 1 5
- 2θ = 64.97°, I = 9, hkl 1 0 6
- 2θ = 66.54°, I = 31, hkl 1 2 3
- 2θ = 67.06°, I = 18, hkl 3 0 0
- 2θ = 79.26°, I = 11, hkl 2 2 0
- 2θ = 89.07°, I = 8, hkl 2 1 6

---

Question: What is the formula in the fourth record?
Answer: Ho3Er2Ru4

---

Please write out number 1 again, unchanged.
Calculated powder X-ray diffraction pattern of Pm2B3Pt8 for Cu Kα, from the GGA-PBE geometry in Alexandria.

Structural model:
```
data_Pm2B3Pt8
_chemical_formula_sum 'Pm4 B6 Pt16'
_cell_length_a 12.4998
_cell_length_b 5.6947
_cell_length_c 7.0579
_cell_angle_alpha 90.00
_cell_angle_beta 112.15
_cell_angle_gamma 90.00
_symmetry_space_group_name_H-M 'C 1 m 1'
_symmetry_Int_Tables_number 8
_symmetry_space_group_name_Hall 'C -2y'
loop_
_atom_site_label
_atom_site_type_symbol
_atom_site_fract_x
_atom_site_fract_y
_atom_site_fract_z
_atom_site_occupancy
Pm1 Pm 0.0000 0.0000 0.0000 1
Pm2 Pm 0.0214 0.5000 0.6038 1
B1 B 0.2594 0.0000 0.7983 1
B2 B 0.2595 0.2706 0.2995 1
Pt1 Pt 0.0781 0.0000 0.6550 1
Pt2 Pt 0.1224 0.5000 0.2771 1
Pt3 Pt 0.2306 0.2556 0.9930 1
Pt4 Pt 0.2908 0.2555 0.6070 1
Pt5 Pt 0.3970 0.5000 0.3240 1
Pt6 Pt 0.4411 0.0000 0.9467 1
```

Peak list (10 most intense, 15 to 90 degrees two-theta, sorted by position)
- 2θ = 20.20°, I = 32, hkl 1 1 -1
- 2θ = 32.69°, I = 100, hkl 4 0 -2
- 2θ = 34.90°, I = 37, hkl 3 1 1
- 2θ = 35.12°, I = 94, hkl 2 2 0
- 2θ = 38.47°, I = 45, hkl 4 0 1
- 2θ = 39.97°, I = 30, hkl 2 2 1
- 2θ = 41.06°, I = 66, hkl 2 2 -2
- 2θ = 41.44°, I = 46, hkl 0 0 3
- 2θ = 55.60°, I = 20, hkl 6 2 -2
- 2θ = 60.23°, I = 22, hkl 2 2 3